Starting from a structure optimized by DFT (PBE), the XRD peak list of NpNb2Ni was calculated for λ = 1.5418 Å (Cu Kα).
Kinematic intensities with the Lorentz-polarization factor, no thermal factor.

Peak list (12 most intense, 2θ = 10–90°, low angle first)
2θ/deg	d (Å)	I_rel	hkl
17.67	5.021	14	0 0 6
26.63	3.347	30	0 0 9
35.77	2.510	32	0 0 12
36.83	2.441	16	1 0 1
38.67	2.329	100	1 0 4
39.73	2.268	22	0 1 5
44.12	2.053	63	0 1 8
54.52	1.683	16	1 0 13
62.20	1.493	16	1 0 16
64.98	1.435	16	0 0 21
66.09	1.414	21	1 1 0
77.49	1.232	20	1 1 12

Structure:
```
NpNb2Ni
1.0
2.8275 0.0000 0.0000
-1.4138 2.4487 0.0000
0.0000 0.0000 30.1240
Np Nb Ni
3 6 3
Direct
0.0000 0.0000 0.0000 Np
0.3333 0.6667 0.6667 Np
0.6667 0.3333 0.3333 Np
0.0000 0.0000 0.2389 Nb
0.0000 0.0000 0.7611 Nb
0.3333 0.6667 0.4278 Nb
0.3333 0.6667 0.9055 Nb
0.6667 0.3333 0.0945 Nb
0.6667 0.3333 0.5722 Nb
0.0000 0.0000 0.5000 Ni
0.3333 0.6667 0.1667 Ni
0.6667 0.3333 0.8333 Ni
```